Record 1
For NpB3Ir6, a crystal structure in Alexandria, relaxed with GGA-PBE gives the theoretical powder diffraction line list in this record (Cu Kα).
Kinematic intensities with the Lorentz-polarization factor, no thermal factor.

Main lines, sorted by position (2θ from 5° to 70°):
2.975 Å, 30.0 deg, I = 38
2.741 Å, 32.7 deg, I = 37
2.358 Å, 38.2 deg, I = 80
2.343 Å, 38.4 deg, I = 100
2.324 Å, 38.7 deg, I = 71
2.159 Å, 41.8 deg, I = 39

abc: 5.416 5.450 5.972
angles: 64.13 70.06 60.42
Element x y z (fractional)
Np: 0.000 0.000 0.000
B: 0.282 0.368 0.974
B: 0.315 0.089 0.530
B: 0.753 0.640 0.970
Ir: 0.075 0.589 0.647
Ir: 0.442 0.910 0.231
Ir: 0.475 0.406 0.231
Ir: 0.536 0.620 0.715
Ir: 0.593 0.100 0.709
Ir: 0.944 0.385 0.345

=====

Record 2
For B3IrO, a crystal structure in Alexandria, relaxed with GGA-PBE gives the theoretical powder diffraction line list in this record (Cu Kα).
Kinematic intensities with the Lorentz-polarization factor, no thermal factor.

Main lines, sorted by position (2θ from 5° to 70°):
3.469 Å, 25.7 deg, I = 84
2.453 Å, 36.6 deg, I = 100
2.003 Å, 45.3 deg, I = 36
1.735 Å, 52.8 deg, I = 23
1.551 Å, 59.6 deg, I = 37
1.416 Å, 66.0 deg, I = 36

abc: 3.469 3.469 3.469
angles: 90.00 90.00 90.00
Element x y z (fractional)
B: 0.000 0.000 0.500
B: 0.000 0.500 0.000
B: 0.500 0.000 0.000
Ir: 0.500 0.500 0.500
O: 0.000 0.000 0.000

=====

Record 3
For BIr3Os, a crystal structure in Alexandria, relaxed with GGA-PBE gives the theoretical powder diffraction line list in this record (Cu Kα).
Kinematic intensities with the Lorentz-polarization factor, no thermal factor.

Main lines, sorted by position (2θ from 5° to 70°):
2.362 Å, 38.1 deg, I = 100
2.046 Å, 44.3 deg, I = 51
1.446 Å, 64.4 deg, I = 34

abc: 4.091 4.091 4.091
angles: 90.00 90.00 90.00
Element x y z (fractional)
B: 0.000 0.000 0.000
Ir: 0.000 0.000 0.500
Ir: 0.000 0.500 0.000
Ir: 0.500 0.000 0.000
Os: 0.500 0.500 0.500